# 1
OsW2Se5: theoretical X-ray diffraction stick pattern (λ = 1.5418 Å (Cu Kα)), based on a structure optimized by DFT (PBE).
Intensities are scaled so that the largest is 100.

Cell and atoms:
```
OsW2Se5
1.0
10.3345 0.0000 0.0000
0.0000 10.9857 0.0000
0.0000 0.0000 7.0617
Os W Se
4 8 20
direct
0.2150 0.2209 0.0000
0.2850 0.7209 0.5000
0.7150 0.2791 0.5000
0.7850 0.7791 0.0000
0.0000 0.5000 0.2959
0.0000 0.5000 0.7041
0.1115 0.0921 0.5000
0.3885 0.5921 0.0000
0.5000 0.0000 0.2041
0.5000 0.0000 0.7959
0.6115 0.4079 0.0000
0.8885 0.9079 0.5000
0.0419 0.3628 0.0000
0.1095 0.3413 0.5000
0.1214 0.8687 0.5000
0.2273 0.5915 0.2498
0.2273 0.5915 0.7502
0.2727 0.0915 0.2502
0.2727 0.0915 0.7498
0.3786 0.3687 0.0000
0.3905 0.8413 0.0000
0.4581 0.8628 0.5000
0.5419 0.1372 0.5000
0.6095 0.1587 0.0000
0.6214 0.6313 0.0000
0.7273 0.9085 0.2502
0.7273 0.9085 0.7498
0.7727 0.4085 0.2498
0.7727 0.4085 0.7502
0.8786 0.1313 0.5000
0.8905 0.6587 0.5000
0.9581 0.6372 0.0000
```

Top 12 peaks for 5° ≤ 2θ ≤ 70°, low angle first:
2theta, d [Å], I_rel
11.76, 7.527, 71.5
15.20, 5.831, 100.0
17.22, 5.150, 67.9
18.29, 4.850, 67.2
18.98, 4.676, 58.1
23.64, 3.764, 70.4
27.91, 3.197, 79.9
28.79, 3.101, 67.5
30.09, 2.970, 72.7
31.76, 2.818, 52.2
43.09, 2.099, 66.7
45.37, 1.999, 79.7



# 2
Os2WSe: theoretical X-ray diffraction stick pattern (λ = 1.5418 Å (Cu Kα)), based on a structure optimized by DFT (PBE).
Intensities are scaled so that the largest is 100.

Cell and atoms:
```
Os2WSe
1.0
2.9003 0.0000 0.0000
0.0000 4.1196 0.0000
-1.3244 0.0000 5.1080
Os W Se
2 1 1
direct
0.1313 0.0000 0.2586
0.8687 0.0000 0.7415
0.5000 0.5000 0.0000
0.5000 0.5000 0.5000
```

Top 12 peaks for 5° ≤ 2θ ≤ 70°, low angle first:
2theta, d [Å], I_rel
21.57, 4.120, 8.2
27.82, 3.207, 10.6
38.82, 2.320, 80.2
39.18, 2.299, 38.8
40.36, 2.235, 20.7
41.39, 2.181, 37.3
41.61, 2.171, 100.0
43.96, 2.060, 43.1
54.28, 1.690, 13.5
55.64, 1.652, 8.7
61.19, 1.515, 12.5
61.96, 1.498, 22.9



# 3
ZnOs2Se: theoretical X-ray diffraction stick pattern (λ = 1.5418 Å (Cu Kα)), based on a structure optimized by DFT (PBE).
Intensities are scaled so that the largest is 100.

Cell and atoms:
```
ZnOs2Se
1.0
2.8721 0.0000 0.0000
0.0000 2.8721 0.0000
0.0000 0.0000 7.9749
Zn Os Se
1 2 1
direct
0.0000 0.0000 0.0000
0.0000 0.0000 0.4343
0.5000 0.5000 0.2184
0.5000 0.5000 0.6571
```

Top 11 peaks for 5° ≤ 2θ ≤ 70°, low angle first:
2theta, d [Å], I_rel
11.09, 7.975, 94.2
33.15, 2.702, 6.3
38.63, 2.330, 100.0
44.62, 2.031, 38.0
45.50, 1.994, 10.4
46.12, 1.968, 12.2
46.55, 1.951, 29.7
57.81, 1.595, 6.7
64.94, 1.436, 12.4
65.62, 1.423, 14.1
66.11, 1.413, 4.3



# 4
Si2Os: theoretical X-ray diffraction stick pattern (λ = 1.5418 Å (Cu Kα)), based on a structure optimized by DFT (PBE).
Intensities are scaled so that the largest is 100.

Cell and atoms:
```
Si2Os
1.0
5.1034 -4.0761 0.0000
5.1034 4.0761 0.0000
0.0000 0.0000 8.2668
Si Os
16 8
direct
0.0745 0.1793 0.2244
0.0943 0.6496 0.0583
0.1496 0.5943 0.5583
0.1793 0.0745 0.7756
0.3207 0.4255 0.2756
0.3504 0.9057 0.0583
0.4057 0.8504 0.5583
0.4255 0.3207 0.7244
0.5745 0.6793 0.2756
0.5943 0.1496 0.4417
0.6496 0.0943 0.9417
0.6793 0.5745 0.7244
0.8207 0.9255 0.2244
0.8504 0.4057 0.4417
0.9057 0.3504 0.9417
0.9255 0.8207 0.7756
0.1886 0.8114 0.3177
0.2154 0.2154 0.5000
0.2846 0.2846 0.0000
0.3114 0.6886 0.8177
0.6886 0.3114 0.1823
0.7154 0.7154 0.0000
0.7846 0.7846 0.5000
0.8114 0.1886 0.6823
```

Top 12 peaks for 5° ≤ 2θ ≤ 70°, low angle first:
2theta, d [Å], I_rel
25.69, 3.467, 31.1
27.77, 3.212, 96.0
28.02, 3.185, 100.0
30.07, 2.972, 26.0
30.81, 2.902, 31.1
35.92, 2.500, 27.5
43.73, 2.070, 33.1
44.03, 2.057, 26.2
46.18, 1.966, 26.9
47.45, 1.916, 54.2
47.85, 1.901, 25.6
49.42, 1.844, 26.2